For PrTmLuTl, DFT lattice parameters and positions (GGA-PBE) gives the computed powder diffractogram in this record (λ = 1.5418 Å (Cu Kα)).
Kinematic intensities with the Lorentz-polarization factor, no thermal factor.

Main lines, sorted by position (5 to 70 degrees two-theta):
(1 1 1), 19.8°, rel. 1; (2 0 0), 22.9°, rel. 1; (2 2 0), 32.6°, rel. 100; (4 0 0), 46.8°, rel. 18; (4 2 2), 58.2°, rel. 39; (4 4 0), 68.3°, rel. 12

Crystal structure
```
data_PrTmLuTl
_cell_length_a 7.7650
_cell_length_b 7.7650
_cell_length_c 7.7650
_cell_angle_alpha 90.00
_cell_angle_beta 90.00
_cell_angle_gamma 90.00
_symmetry_space_group_name_H-M 'P 1'
_symmetry_Int_Tables_number 1
_symmetry_space_group_name_Hall 'P 1'
loop_
_atom_site_label
_atom_site_type_symbol
_atom_site_fract_x
_atom_site_fract_y
_atom_site_fract_z
Pr1 Pr 0.0000 0.0000 0.0000
Pr2 Pr 0.0000 0.5000 0.5000
Pr3 Pr 0.5000 0.0000 0.5000
Pr4 Pr 0.5000 0.5000 0.0000
Tm1 Tm 0.0000 0.0000 0.5000
Tm2 Tm 0.0000 0.5000 0.0000
Tm3 Tm 0.5000 0.0000 0.0000
Tm4 Tm 0.5000 0.5000 0.5000
Lu1 Lu 0.2500 0.2500 0.2500
Lu2 Lu 0.2500 0.7500 0.7500
Lu3 Lu 0.7500 0.2500 0.7500
Lu4 Lu 0.7500 0.7500 0.2500
Tl1 Tl 0.2500 0.2500 0.7500
Tl2 Tl 0.2500 0.7500 0.2500
Tl3 Tl 0.7500 0.2500 0.2500
Tl4 Tl 0.7500 0.7500 0.7500
```

---

For LuPt, DFT lattice parameters and positions (GGA-PBE) gives the computed powder diffractogram in this record (λ = 1.5418 Å (Cu Kα)).
Kinematic intensities with the Lorentz-polarization factor, no thermal factor.

Main lines, sorted by position (5 to 70 degrees two-theta):
(1 1 1), 28.9°, rel. 19; (2 1 0), 33.0°, rel. 71; (1 0 2), 35.2°, rel. 46; (2 1 1), 37.0°, rel. 100; (0 2 0), 40.3°, rel. 52; (1 1 2), 40.8°, rel. 87; (3 0 1), 43.1°, rel. 20; (1 2 2), 54.6°, rel. 26; (4 0 1), 56.6°, rel. 22; (3 2 1), 60.5°, rel. 19

Crystal structure
```
data_LuPt
_cell_length_a 6.8133
_cell_length_b 4.4778
_cell_length_c 5.4919
_cell_angle_alpha 90.00
_cell_angle_beta 90.00
_cell_angle_gamma 90.00
_symmetry_space_group_name_H-M 'P 1'
_symmetry_Int_Tables_number 1
_symmetry_space_group_name_Hall 'P 1'
loop_
_atom_site_label
_atom_site_type_symbol
_atom_site_fract_x
_atom_site_fract_y
_atom_site_fract_z
Lu1 Lu 0.1815 0.2500 0.1420
Lu2 Lu 0.3185 0.7500 0.6420
Lu3 Lu 0.6815 0.2500 0.3580
Lu4 Lu 0.8185 0.7500 0.8580
Pt1 Pt 0.0435 0.2500 0.6577
Pt2 Pt 0.4565 0.7500 0.1577
Pt3 Pt 0.5435 0.2500 0.8423
Pt4 Pt 0.9565 0.7500 0.3423
```